For Tb12Pm2Th, a DFT-relaxed cell (PBE, Alexandria) gives the theoretical X-ray powder pattern in this record (Cu Kα).
Lines closer than 0.1° are merged.

Largest 8 diffraction maxima, in order of rising 2θ, 10 to 90 degrees two-theta:
2theta	Rel. int.	hkl
29.24	33	2 0 4
29.65	64	0 2 7
30.74	80	2 2 2
31.25	100	0 4 0
31.80	30	2 2 3
32.85	81	0 2 8
33.24	63	2 2 4
37.09	66	2 2 6

Cell and atoms:
Lattice parameters (Å, degrees): 7.0202 11.4495 24.8093 90.00 90.00 90.00
Space group Cmme (No. 67)
Asymmetric unit:
Tb (0.0000, 0.0010, 0.0758)
Tb (0.0000, 0.0156, 0.5612)
Tb (0.2377, 0.2500, 0.4152)
Tb (0.2491, 0.2500, 0.8747)
Tb (0.2500, 0.0000, 0.1990)
Tb (0.2500, 0.0000, 0.3270)
Pm (0.0000, 0.2500, 0.2653)
Pm (0.0000, 0.2500, 0.7285)
Th (0.0000, 0.2500, 0.9997)

=====

For AgBSe2, a DFT-relaxed cell (PBE, Alexandria) gives the theoretical X-ray powder pattern in this record (Cu Kα).
Lines closer than 0.1° are merged.

Largest 8 diffraction maxima, in order of rising 2θ, 10 to 90 degrees two-theta:
2theta	Rel. int.	hkl
13.52	100	0 0 1
13.95	24	0 1 1
23.18	23	1 1 1
28.12	18	0 2 2
29.82	27	1 1 2
32.07	26	-1 1 2
33.84	28	1 2 0
43.05	18	-1 1 3

Cell and atoms:
Lattice parameters (Å, degrees): 4.5861 7.3362 7.4677 61.42 85.82 87.38
Space group P-1 (No. 2)
Asymmetric unit:
Ag (0.2438, 0.1229, 0.4960)
B (0.1038, 0.5865, 0.5896)
Se (0.0765, 0.6977, 0.2886)
Se (0.2681, 0.7023, 0.7444)